(1)
For Ce5CdHg3, a DFT-relaxed cell (GGA-PBE, Alexandria) gives the simulated powder X-ray diffraction pattern in this record (Cu Kα (λ = 1.5418 Å)).
Kinematic intensities with the Lorentz-polarization factor, no thermal factor.

Structural model:
```
18
Lattice="9.4444 0.0000 0.0000 -4.7222 8.1791 0.0000 0.0000 0.0000 6.5163" Properties=species:S:1:pos:R:3 pbc="T T T"
Ce -1.4767 2.5578 1.6291
Ce -3.2455 5.6213 4.8872
Ce 2.9535 0.0000 1.6291
Ce 1.4767 2.5578 4.8872
Ce 0.0000 5.4527 0.0000
Ce 0.0000 5.4527 3.2582
Ce 4.7222 2.7264 0.0000
Ce 4.7222 2.7264 3.2582
Ce 6.4909 0.0000 4.8872
Ce 3.2455 5.6213 1.6291
Cd 0.0000 0.0000 0.0000
Cd 0.0000 0.0000 3.2582
Hg -1.6654 2.8845 4.8872
Hg -3.0568 5.2946 1.6291
Hg 3.3307 0.0000 4.8872
Hg 1.6654 2.8845 1.6291
Hg 6.1137 0.0000 1.6291
Hg 3.0568 5.2946 4.8872
```

Principal peaks in the range 5 to 70 degrees two-theta, in order of rising 2θ:
27.37°, rel. 11
32.05°, rel. 8
32.85°, rel. 100
33.41°, rel. 82
43.27°, rel. 17
47.56°, rel. 29
58.65°, rel. 17
59.01°, rel. 29
66.91°, rel. 26
68.88°, rel. 10

---

(2)
For CeCd6Hg, a DFT-relaxed cell (GGA-PBE, Alexandria) gives the simulated powder X-ray diffraction pattern in this record (Cu Kα (λ = 1.5418 Å)).
Kinematic intensities with the Lorentz-polarization factor, no thermal factor.

Structural model:
```
8
Lattice="5.9626 0.0000 0.0000 -2.9813 5.1638 0.0000 0.0000 0.0000 6.5708" Properties=species:S:1:pos:R:3 pbc="T T T"
Ce 0.0000 0.0000 0.0000
Cd -1.4907 2.5819 1.6471
Cd -1.4907 2.5819 4.9237
Cd 2.9813 0.0000 1.6471
Cd 2.9813 0.0000 4.9237
Cd 1.4907 2.5819 1.6471
Cd 1.4907 2.5819 4.9237
Hg 0.0000 0.0000 3.2854
```

Principal peaks in the range 5 to 70 degrees two-theta, in order of rising 2θ:
27.14°, rel. 8
32.30°, rel. 74
34.75°, rel. 100
40.87°, rel. 39
44.64°, rel. 11
54.70°, rel. 33
55.98°, rel. 8
60.75°, rel. 12
62.28°, rel. 18
67.59°, rel. 28

---

(3)
For Ce3CdHg3, a DFT-relaxed cell (GGA-PBE, Alexandria) gives the simulated powder X-ray diffraction pattern in this record (Cu Kα (λ = 1.5418 Å)).
Kinematic intensities with the Lorentz-polarization factor, no thermal factor.

Structural model:
```
14
Lattice="6.6569 0.0000 0.0000 0.2154 7.1981 0.0000 0.1976 0.0012 8.0328" Properties=species:S:1:pos:R:3 pbc="T T T"
Ce 0.3319 1.3767 4.0066
Ce 0.4141 2.1754 0.0203
Ce 3.1863 1.3819 3.9730
Ce 3.8837 5.8174 4.0598
Ce 6.6559 5.0238 8.0125
Ce 6.7381 5.8226 4.0262
Cd 2.2040 6.8061 1.4250
Cd 4.8660 0.3931 6.6078
Hg 1.9769 3.7944 5.6924
Hg 2.0917 6.9146 6.5015
Hg 1.9429 3.8235 2.2711
Hg 5.1270 3.3757 5.7617
Hg 4.9783 0.2847 1.5313
Hg 5.0931 3.4049 2.3404
```

Principal peaks in the range 5 to 70 degrees two-theta, in order of rising 2θ:
31.57°, rel. 17
33.43°, rel. 100
34.59°, rel. 57
35.46°, rel. 48
35.78°, rel. 55
36.22°, rel. 41
37.36°, rel. 47
39.19°, rel. 25
39.55°, rel. 16
66.36°, rel. 16

---

(4)
For CeCd2Hg5, a DFT-relaxed cell (GGA-PBE, Alexandria) gives the simulated powder X-ray diffraction pattern in this record (Cu Kα (λ = 1.5418 Å)).
Kinematic intensities with the Lorentz-polarization factor, no thermal factor.

Structural model:
```
8
Lattice="-1.6661 4.8553 6.1532 1.6661 -4.8553 6.1532 1.6661 4.8553 -6.1532" Properties=species:S:1:pos:R:3 pbc="T T T"
Ce 0.0000 0.0000 0.0000
Cd 1.6661 0.0000 3.1906
Cd 0.0000 4.8553 2.9626
Hg 1.6661 2.4760 -1.5657
Hg 1.6661 2.4760 1.5657
Hg 0.0000 4.8553 0.0000
Hg 0.0000 2.3793 4.5875
Hg 0.0000 2.3793 7.7189
```

Principal peaks in the range 5 to 70 degrees two-theta, in order of rising 2θ:
33.42°, rel. 97
34.51°, rel. 100
34.68°, rel. 42
37.03°, rel. 42
45.83°, rel. 21
51.64°, rel. 27
60.33°, rel. 19
65.13°, rel. 16
66.68°, rel. 30
68.29°, rel. 15

---

(5)
For Ce2CdHg4, a DFT-relaxed cell (GGA-PBE, Alexandria) gives the simulated powder X-ray diffraction pattern in this record (Cu Kα (λ = 1.5418 Å)).
Kinematic intensities with the Lorentz-polarization factor, no thermal factor.

Structural model:
```
7
Lattice="2.5946 1.4980 8.3537 -2.5946 1.4980 8.3537 0.0000 -2.9960 8.3537" Properties=species:S:1:pos:R:3 pbc="T T T"
Ce 0.0000 0.0000 6.1536
Ce 0.0000 0.0000 18.9076
Cd 0.0000 0.0000 12.5306
Hg 0.0000 0.0000 2.9570
Hg 0.0000 0.0000 9.3069
Hg 0.0000 0.0000 15.7543
Hg 0.0000 0.0000 22.1043
```

Principal peaks in the range 5 to 70 degrees two-theta, in order of rising 2θ:
24.37°, rel. 26
31.96°, rel. 8
34.57°, rel. 100
34.91°, rel. 91
42.75°, rel. 7
49.95°, rel. 33
61.94°, rel. 19
62.17°, rel. 35
62.83°, rel. 14
66.57°, rel. 6

---

(6)
For LiCeCdHg, a DFT-relaxed cell (GGA-PBE, Alexandria) gives the simulated powder X-ray diffraction pattern in this record (Cu Kα (λ = 1.5418 Å)).
Kinematic intensities with the Lorentz-polarization factor, no thermal factor.

Structural model:
```
4
Lattice="0.0000 3.6412 3.6412 3.6412 0.0000 3.6412 3.6412 3.6412 0.0000" Properties=species:S:1:pos:R:3 pbc="T T T"
Li 0.0000 0.0000 0.0000
Ce 3.6412 3.6412 3.6412
Cd 1.8206 1.8206 1.8206
Hg 5.4618 5.4618 5.4618
```

Principal peaks in the range 5 to 70 degrees two-theta, in order of rising 2θ:
21.13°, rel. 28
24.45°, rel. 17
34.85°, rel. 100
41.11°, rel. 15
43.03°, rel. 5
50.10°, rel. 18
54.96°, rel. 7
56.51°, rel. 7
62.48°, rel. 37
66.74°, rel. 5

---

(7)
For CeLuCdHg, a DFT-relaxed cell (GGA-PBE, Alexandria) gives the simulated powder X-ray diffraction pattern in this record (Cu Kα (λ = 1.5418 Å)).
Kinematic intensities with the Lorentz-polarization factor, no thermal factor.

Structural model:
```
4
Lattice="0.0000 3.7628 3.7628 3.7628 0.0000 3.7628 3.7628 3.7628 0.0000" Properties=species:S:1:pos:R:3 pbc="T T T"
Ce 0.0000 0.0000 0.0000
Lu 3.7628 3.7628 3.7628
Cd 5.6441 5.6441 5.6441
Hg 1.8814 1.8814 1.8814
```

Principal peaks in the range 5 to 70 degrees two-theta, in order of rising 2θ:
20.44°, rel. 5
33.69°, rel. 100
39.72°, rel. 3
48.38°, rel. 18
53.04°, rel. 1
60.25°, rel. 38
64.32°, rel. 1

---

(8)
For CeCd2SnHg, a DFT-relaxed cell (GGA-PBE, Alexandria) gives the simulated powder X-ray diffraction pattern in this record (Cu Kα (λ = 1.5418 Å)).
Kinematic intensities with the Lorentz-polarization factor, no thermal factor.

Structural model:
```
10
Lattice="-3.0941 3.0941 7.5669 3.0941 -3.0941 7.5669 3.0941 3.0941 -7.5669" Properties=species:S:1:pos:R:3 pbc="T T T"
Ce 0.0000 0.0000 0.0000
Ce 0.0000 0.0000 7.5669
Cd 4.1854 1.0913 2.3887
Cd 1.0913 2.0029 2.3887
Cd 2.0029 1.0913 9.9556
Cd -1.0913 2.0029 9.9556
Sn 3.0941 0.0000 6.8448
Sn 0.0000 3.0941 6.8448
Hg 0.0000 0.0000 4.5286
Hg 0.0000 0.0000 12.0955
```

Principal peaks in the range 5 to 70 degrees two-theta, in order of rising 2θ:
23.49°, rel. 18
28.86°, rel. 24
31.24°, rel. 100
32.90°, rel. 18
35.59°, rel. 20
37.55°, rel. 34
41.27°, rel. 33
46.42°, rel. 22
59.81°, rel. 18
69.03°, rel. 26

---

(9)
For CeThCdHg, a DFT-relaxed cell (GGA-PBE, Alexandria) gives the simulated powder X-ray diffraction pattern in this record (Cu Kα (λ = 1.5418 Å)).
Kinematic intensities with the Lorentz-polarization factor, no thermal factor.

Structural model:
```
4
Lattice="-2.3687 2.3687 4.7383 2.3687 -2.3687 4.7383 2.3687 2.3687 -4.7383" Properties=species:S:1:pos:R:3 pbc="T T T"
Ce 0.0000 0.0000 0.0000
Th 0.0000 0.0000 4.7383
Cd 0.0000 2.3687 2.3692
Hg 2.3687 0.0000 2.3692
```

Principal peaks in the range 5 to 70 degrees two-theta, in order of rising 2θ:
20.96°, rel. 9
32.74°, rel. 100
34.11°, rel. 3
37.98°, rel. 50
43.78°, rel. 3
51.97°, rel. 3
54.81°, rel. 35
65.32°, rel. 41
66.15°, rel. 1
68.62°, rel. 12

---

(10)
For CeHoCd4, a DFT-relaxed cell (GGA-PBE, Alexandria) gives the simulated powder X-ray diffraction pattern in this record (Cu Kα (λ = 1.5418 Å)).
Kinematic intensities with the Lorentz-polarization factor, no thermal factor.

Structural model:
```
6
Lattice="3.3252 0.0000 0.0000 0.0000 5.0576 0.0000 0.0000 0.0000 8.7661" Properties=species:S:1:pos:R:3 pbc="T T T"
Ce 0.0000 0.0000 0.0000
Ho 0.0000 2.5288 4.3830
Cd 1.6626 0.0000 2.9575
Cd 1.6626 0.0000 5.8086
Cd 1.6626 2.5288 1.5026
Cd 1.6626 2.5288 7.2635
```

Principal peaks in the range 5 to 70 degrees two-theta, in order of rising 2θ:
20.27°, rel. 3
26.81°, rel. 3
33.84°, rel. 100
35.49°, rel. 90
45.03°, rel. 4
49.85°, rel. 33
55.25°, rel. 8
62.67°, rel. 33
63.72°, rel. 16
67.40°, rel. 26

---

(11)
For KCeCdI6, a DFT-relaxed cell (GGA-PBE, Alexandria) gives the simulated powder X-ray diffraction pattern in this record (Cu Kα (λ = 1.5418 Å)).
Kinematic intensities with the Lorentz-polarization factor, no thermal factor.

Structural model:
```
18
Lattice="7.9603 0.0000 0.0000 -3.9802 6.8938 0.0000 0.0000 0.0000 15.6194" Properties=species:S:1:pos:R:3 pbc="T T T"
K 0.0000 0.0000 0.0000
K 0.0000 0.0000 7.8097
Ce 0.0000 4.5959 3.9049
Ce 3.9802 2.2979 11.7146
Cd 0.0000 4.5959 11.7146
Cd 3.9802 2.2979 3.9049
I -1.3946 2.5666 9.9245
I -2.4547 4.4028 13.5047
I 1.3946 2.5666 13.5047
I -1.0601 6.8183 9.9245
I 2.9200 0.0755 2.1147
I 1.5254 2.4910 5.6950
I 2.4547 4.4028 9.9245
I 1.0601 6.8183 13.5047
I 5.0403 0.0755 5.6950
I 2.5856 4.3273 2.1147
I 6.4349 2.4910 2.1147
I 5.3747 4.3273 5.6950
```

Principal peaks in the range 5 to 70 degrees two-theta, in order of rising 2θ:
11.33°, rel. 24
12.84°, rel. 17
17.16°, rel. 20
25.11°, rel. 100
32.11°, rel. 57
36.35°, rel. 13
39.20°, rel. 33
41.45°, rel. 29
47.13°, rel. 14
62.41°, rel. 14

---

(12)
For Ce6CdIn5, a DFT-relaxed cell (GGA-PBE, Alexandria) gives the simulated powder X-ray diffraction pattern in this record (Cu Kα (λ = 1.5418 Å)).
Kinematic intensities with the Lorentz-polarization factor, no thermal factor.

Structural model:
```
12
Lattice="-2.3551 4.8092 7.0675 2.3551 -4.8092 7.0675 2.3551 4.8092 -7.0675" Properties=species:S:1:pos:R:3 pbc="T T T"
Ce 2.3551 2.4003 -2.3490
Ce 0.0000 2.3957 0.0000
Ce 2.3551 2.4003 2.3490
Ce 0.0000 2.4089 4.7185
Ce 0.0000 7.2227 0.0000
Ce 0.0000 2.4089 9.4164
Cd 0.0000 0.0000 7.0675
In 2.3551 0.0000 0.0000
In 0.0000 0.0000 2.3677
In 2.3551 0.0000 4.7213
In 0.0000 4.8092 2.3461
In 0.0000 0.0000 11.7672
```

Principal peaks in the range 5 to 70 degrees two-theta, in order of rising 2θ:
18.45°, rel. 1
26.76°, rel. 1
32.70°, rel. 100
37.40°, rel. 17
38.21°, rel. 33
54.54°, rel. 23
55.14°, rel. 11
64.51°, rel. 14
65.61°, rel. 26
68.53°, rel. 11

---

(13)
For CeCdIn4, a DFT-relaxed cell (GGA-PBE, Alexandria) gives the simulated powder X-ray diffraction pattern in this record (Cu Kα (λ = 1.5418 Å)).
Kinematic intensities with the Lorentz-polarization factor, no thermal factor.

Structural model:
```
12
Lattice="7.6159 -4.2849 0.0000 7.6159 4.2849 0.0000 -1.0711 0.0000 5.0242" Properties=species:S:1:pos:R:3 pbc="T T T"
Ce 3.0395 0.0000 0.7064
Ce 11.1212 0.0000 4.3178
Cd 6.5304 0.0000 1.1801
Cd 7.6303 0.0000 3.8442
In 5.2665 2.6262 2.0887
In 7.6159 2.7800 0.0000
In 8.8942 2.6262 2.9355
In 4.4179 0.0000 3.5723
In 9.7428 0.0000 1.4520
In 5.2665 -2.6262 2.0887
In 7.6159 -2.7800 0.0000
In 8.8942 -2.6262 2.9355
```

Principal peaks in the range 5 to 70 degrees two-theta, in order of rising 2θ:
23.95°, rel. 27
31.41°, rel. 44
31.90°, rel. 74
32.78°, rel. 100
33.29°, rel. 96
34.01°, rel. 79
36.55°, rel. 72
41.68°, rel. 36
42.34°, rel. 37
53.69°, rel. 37

---

(14)
For Ce4Cd3In2, a DFT-relaxed cell (GGA-PBE, Alexandria) gives the simulated powder X-ray diffraction pattern in this record (Cu Kα (λ = 1.5418 Å)).
Kinematic intensities with the Lorentz-polarization factor, no thermal factor.

Structural model:
```
9
Lattice="5.4073 -2.4131 0.0000 5.4073 2.4131 0.0000 -3.5530 0.0000 8.9951" Properties=species:S:1:pos:R:3 pbc="T T T"
Ce -1.1449 0.0000 3.1920
Ce 3.1893 0.0000 0.8363
Ce 4.0724 0.0000 8.1588
Ce 8.4067 0.0000 5.8030
Cd 0.0000 0.0000 0.0000
Cd 2.0820 0.0000 3.9273
Cd 5.1797 0.0000 5.0677
In 0.8328 0.0000 6.7888
In 6.4289 0.0000 2.2063
```

Principal peaks in the range 5 to 70 degrees two-theta, in order of rising 2θ:
32.52°, rel. 100
33.49°, rel. 87
37.27°, rel. 70
40.28°, rel. 23
53.73°, rel. 24
56.03°, rel. 17
63.65°, rel. 14
64.22°, rel. 14
64.80°, rel. 13
68.10°, rel. 11